Record 1
Structure and calculated X-ray diffraction stick pattern of GdTm3Lu2Te2Os (a DFT-relaxed cell (PBE, OQMD); Cu Ka).
Neutral-atom scattering factors, no anomalous dispersion.

Atomic structure:
a b c (Å): 4.026 8.138 8.138
angles (deg): 118.30 90.00 90.00
Element x y z (fractional)
Gd 0.000 0.000 0.000
Tm 0.500 0.157 0.393
Tm 0.500 0.393 0.157
Tm 0.500 0.638 0.638
Lu 0.000 0.394 0.776
Lu 0.000 0.776 0.394
Te 0.500 0.062 0.727
Te 0.500 0.727 0.062
Os 0.000 0.415 0.415

Peak list (10 most intense, 2θ = 15–90°, sorted by position)
2θ (°), I (rel.)
30.86, 56
31.26, 87
33.47, 100
33.82, 29
33.98, 32
37.66, 43
39.91, 22
40.44, 25
40.76, 25
45.03, 37



Record 2
Structure and calculated X-ray diffraction stick pattern of GdLuZn2Sn2 (a DFT-relaxed cell (PBE, OQMD); Cu Ka).
Neutral-atom scattering factors, no anomalous dispersion.

Atomic structure:
a b c (Å): 4.506 4.506 15.693
angles (deg): 90.00 90.00 120.00
Element x y z (fractional)
Gd 0.000 0.000 0.250
Gd 0.000 0.000 0.750
Lu 0.000 0.000 0.000
Lu 0.000 0.000 0.500
Zn 0.333 0.667 0.158
Zn 0.333 0.667 0.342
Zn 0.667 0.333 0.658
Zn 0.667 0.333 0.842
Sn 0.333 0.667 0.610
Sn 0.333 0.667 0.890
Sn 0.667 0.333 0.110
Sn 0.667 0.333 0.390

Peak list (10 most intense, 2θ = 15–90°, sorted by position)
2θ (°), I (rel.)
22.79, 9
28.54, 15
32.36, 100
40.02, 60
46.73, 12
52.37, 26
62.81, 16
67.89, 24
72.69, 11
86.37, 7



Record 3
Structure and calculated X-ray diffraction stick pattern of Gd2Tm3Lu3 (a DFT-relaxed cell (PBE, OQMD); Cu Ka).
Neutral-atom scattering factors, no anomalous dispersion.

Atomic structure:
a b c (Å): 7.097 7.097 5.547
angles (deg): 90.00 90.00 120.00
Element x y z (fractional)
Gd 0.000 0.000 0.000
Gd 0.333 0.667 0.500
Tm 0.501 0.002 0.000
Tm 0.501 0.499 0.000
Tm 0.998 0.499 0.000
Lu 0.335 0.168 0.500
Lu 0.832 0.168 0.500
Lu 0.832 0.665 0.500

Peak list (10 most intense, 2θ = 15–90°, sorted by position)
2θ (°), I (rel.)
29.06, 24
32.28, 24
33.33, 100
43.98, 16
51.51, 20
58.23, 20
62.10, 22
62.75, 16
85.39, 14
89.75, 9